Record 1
Diffraction record for Tb3Zn2Pd6. The PXRD pattern is computed, not measured: it uses the PBE geometry in Alexandria and a wavelength of 1.5418 Å.

Atomic structure:
```
data_Tb3Zn2Pd6
_chemical_formula_sum 'Tb12 Zn8 Pd24'
_cell_length_a 9.5071
_cell_length_b 9.5071
_cell_length_c 9.5071
_cell_angle_alpha 90.00
_cell_angle_beta 90.00
_cell_angle_gamma 90.00
_space_group_name_H-M_alt 'I m -3 m'
_space_group_IT_number 229
_space_group_name_Hall '-I 4 2 3'
loop_
_atom_site_label
_atom_site_type_symbol
_atom_site_fract_x
_atom_site_fract_y
_atom_site_fract_z
_atom_site_occupancy
Tb1 Tb 0.0000 0.0000 0.3007 1
Zn1 Zn 0.2500 0.2500 0.2500 1
Pd1 Pd 0.0000 0.3340 0.3340 1
```

Peak list (12 most intense, 2θ = 10–90°, in order of rising 2θ)
- 2θ = 13.2°, I = 15.5, (1 1 0)
- 2θ = 29.7°, I = 21.6, (3 1 0)
- 2θ = 32.6°, I = 13.6, (2 2 2)
- 2θ = 35.3°, I = 21.8, (3 2 1)
- 2θ = 37.9°, I = 12.7, (4 0 0)
- 2θ = 40.2°, I = 100.0, (3 3 0)
- 2θ = 42.5°, I = 7.7, (4 2 0)
- 2θ = 58.2°, I = 11.1, (6 0 0)
- 2θ = 60.0°, I = 12.8, (5 3 2)
- 2θ = 65.1°, I = 10.3, (6 2 2)
- 2θ = 73.2°, I = 29.9, (6 3 3)
- 2θ = 87.0°, I = 10.5, (6 6 0)


Record 2
Diffraction record for Pm12TlSi7. The PXRD pattern is computed, not measured: it uses the PBE geometry in Alexandria and a wavelength of 1.5418 Å.

Atomic structure:
```
data_Pm12TlSi7
_chemical_formula_sum 'Pm24 Tl2 Si14'
_cell_length_a 10.8604
_cell_length_b 10.8604
_cell_length_c 10.8604
_cell_angle_alpha 90.00
_cell_angle_beta 90.00
_cell_angle_gamma 90.00
_space_group_name_H-M_alt 'I m -3'
_space_group_IT_number 204
_space_group_name_Hall '-I 2 2 3'
loop_
_atom_site_label
_atom_site_type_symbol
_atom_site_fract_x
_atom_site_fract_y
_atom_site_fract_z
_atom_site_occupancy
Pm1 Pm 0.0000 0.1840 0.3017 1
Tl1 Tl 0.0000 0.0000 0.0000 1
Si1 Si 0.0000 0.0000 0.5000 1
Si2 Si 0.2500 0.2500 0.2500 1
```

Peak list (12 most intense, 2θ = 10–90°, in order of rising 2θ)
- 2θ = 25.9°, I = 100.0, (3 1 0)
- 2θ = 28.5°, I = 51.1, (2 2 2)
- 2θ = 30.8°, I = 90.4, (3 2 1)
- 2θ = 33.0°, I = 25.0, (4 0 0)
- 2θ = 40.7°, I = 19.7, (4 2 2)
- 2θ = 48.9°, I = 52.0, (5 0 3)
- 2θ = 51.9°, I = 48.2, (5 3 2)
- 2θ = 60.3°, I = 21.2, (7 1 0)
- 2θ = 72.9°, I = 14.4, (6 3 5)
- 2θ = 74.1°, I = 24.8, (8 2 2)
- 2θ = 75.3°, I = 16.4, (7 5 0)
- 2θ = 89.3°, I = 15.5, (8 5 3)


Record 3
Diffraction record for TlIn6Pb8. The PXRD pattern is computed, not measured: it uses the PBE geometry in Alexandria and a wavelength of 1.5418 Å.

Atomic structure:
```
data_TlIn6Pb8
_chemical_formula_sum 'Tl1 In6 Pb8'
_cell_length_a 9.8839
_cell_length_b 9.8839
_cell_length_c 5.7765
_cell_angle_alpha 90.00
_cell_angle_beta 90.00
_cell_angle_gamma 120.00
_space_group_name_H-M_alt 'P -3'
_space_group_IT_number 147
loop_
_space_group_symop_operation_xyz
'x,y,z'
'-x,-y,-z'
'-y,x-y,z'
'y,-x+y,-z'
'-x+y,-x,z'
'x-y,x,-z'
loop_
_atom_site_label
_atom_site_type_symbol
_atom_site_fract_x
_atom_site_fract_y
_atom_site_fract_z
_atom_site_occupancy
Tl1 Tl 0.0000 0.0000 0.0000 1
In1 In 0.1385 0.4640 0.9200 1
Pb1 Pb 0.0197 0.6836 0.5948 1
Pb2 Pb 0.3333 0.6667 0.3949 1
```

Peak list (12 most intense, 2θ = 10–90°, in order of rising 2θ)
- 2θ = 23.7°, I = 45.0, (2 -1 1)
- 2θ = 25.9°, I = 40.1, (2 0 1)
- 2θ = 31.4°, I = 96.8, (3 0 0)
- 2θ = 31.7°, I = 100.0, (1 2 1)
- 2θ = 32.7°, I = 20.4, (1 0 2)
- 2θ = 35.1°, I = 82.5, (3 0 1)
- 2θ = 36.0°, I = 76.5, (1 1 2)
- 2θ = 39.7°, I = 25.6, (2 2 1)
- 2θ = 51.4°, I = 27.1, (5 -4 1)
- 2θ = 58.2°, I = 21.6, (3 3 1)
- 2θ = 58.9°, I = 22.3, (4 1 2)
- 2θ = 61.0°, I = 24.8, (2 2 3)